# 1
Diffraction record for Cu8AsPd6. The powder diffractogram is calculated, not measured: it uses a crystal structure in Alexandria, relaxed with GGA-PBE and Cu Kα (λ = 1.5418 Å).
Neutral-atom scattering factors, no anomalous dispersion.

Structural model:
```
data_Cu8AsPd6
_chemical_formula_sum 'Cu8 As1 Pd6'
_cell_length_a 6.672
_cell_length_b 6.672
_cell_length_c 6.672
_cell_angle_alpha 62.45
_cell_angle_beta 62.45
_cell_angle_gamma 62.45
_space_group_name_H-M_alt 'P 1'
_space_group_IT_number 1
loop_
_space_group_symop_operation_xyz
'x,y,z'
loop_
_atom_site_label
_atom_site_type_symbol
_atom_site_fract_x
_atom_site_fract_y
_atom_site_fract_z
Cu1 Cu 0.127 0.813 0.461
Cu2 Cu 0.187 0.539 0.873
Cu3 Cu 0.249 0.249 0.249
Cu4 Cu 0.461 0.127 0.813
Cu5 Cu 0.539 0.873 0.187
Cu6 Cu 0.751 0.751 0.751
Cu7 Cu 0.813 0.461 0.127
Cu8 Cu 0.873 0.187 0.539
As1 As 0.000 0.000 0.000
Pd1 Pd 0.117 0.355 0.656
Pd2 Pd 0.344 0.883 0.645
Pd3 Pd 0.355 0.656 0.117
Pd4 Pd 0.645 0.344 0.883
Pd5 Pd 0.656 0.117 0.355
Pd6 Pd 0.883 0.645 0.344
```

Most intense lines, 10° ≤ 2θ ≤ 80°, in order of rising 2θ:
d 5.345, intensity 10; d 3.459, intensity 19; d 2.399, intensity 23; d 2.242, intensity 22; d 2.179, intensity 25; d 2.115, intensity 100; d 1.997, intensity 59; d 1.972, intensity 17; d 1.452, intensity 12; d 1.246, intensity 11

=====

# 2
Diffraction record for Cu2AsPd4. The powder diffractogram is calculated, not measured: it uses a crystal structure in Alexandria, relaxed with GGA-PBE and Cu Kα (λ = 1.5418 Å).
Neutral-atom scattering factors, no anomalous dispersion.

Structural model:
```
data_Cu2AsPd4
_chemical_formula_sum 'Cu4 As2 Pd8'
_cell_length_a 5.475
_cell_length_b 6.305
_cell_length_c 6.910
_cell_angle_alpha 114.97
_cell_angle_beta 93.48
_cell_angle_gamma 103.17
_space_group_name_H-M_alt 'P 1'
_space_group_IT_number 1
loop_
_space_group_symop_operation_xyz
'x,y,z'
loop_
_atom_site_label
_atom_site_type_symbol
_atom_site_fract_x
_atom_site_fract_y
_atom_site_fract_z
Cu1 Cu 0.000 0.000 0.000
Cu2 Cu 0.107 0.587 0.857
Cu3 Cu 0.606 0.562 0.863
Cu4 Cu 0.762 0.858 0.252
As1 As 0.327 0.757 0.560
As2 As 0.614 0.262 0.350
Pd1 Pd 0.084 0.319 0.437
Pd2 Pd 0.209 0.159 0.738
Pd3 Pd 0.256 0.897 0.281
Pd4 Pd 0.392 0.461 0.174
Pd5 Pd 0.505 0.973 0.952
Pd6 Pd 0.705 0.151 0.651
Pd7 Pd 0.821 0.705 0.575
Pd8 Pd 0.882 0.427 0.107
```

Most intense lines, 10° ≤ 2θ ≤ 80°, in order of rising 2θ:
d 2.291, intensity 66; d 2.273, intensity 17; d 2.262, intensity 100; d 2.234, intensity 16; d 2.171, intensity 63; d 2.105, intensity 17; d 2.039, intensity 14; d 2.020, intensity 53; d 1.984, intensity 25; d 1.842, intensity 25

=====

# 3
Diffraction record for CuAs2Pd3. The powder diffractogram is calculated, not measured: it uses a crystal structure in Alexandria, relaxed with GGA-PBE and Cu Kα (λ = 1.5418 Å).
Neutral-atom scattering factors, no anomalous dispersion.

Structural model:
```
data_CuAs2Pd3
_chemical_formula_sum 'Cu2 As4 Pd6'
_cell_length_a 7.536
_cell_length_b 7.536
_cell_length_c 7.536
_cell_angle_alpha 138.75
_cell_angle_beta 61.34
_cell_angle_gamma 136.69
_space_group_name_H-M_alt 'P 1'
_space_group_IT_number 1
loop_
_space_group_symop_operation_xyz
'x,y,z'
loop_
_atom_site_label
_atom_site_type_symbol
_atom_site_fract_x
_atom_site_fract_y
_atom_site_fract_z
Cu1 Cu 0.250 0.250 0.000
Cu2 Cu 0.750 0.750 0.000
As1 As 0.134 0.245 0.379
As2 As 0.366 0.745 0.111
As3 As 0.634 0.255 0.889
As4 As 0.866 0.755 0.621
Pd1 Pd 0.174 0.754 0.929
Pd2 Pd 0.250 0.750 0.500
Pd3 Pd 0.326 0.254 0.580
Pd4 Pd 0.674 0.746 0.420
Pd5 Pd 0.750 0.250 0.500
Pd6 Pd 0.826 0.246 0.071
```

Most intense lines, 10° ≤ 2θ ≤ 80°, in order of rising 2θ:
d 2.781, intensity 19; d 2.555, intensity 81; d 2.477, intensity 41; d 2.456, intensity 72; d 2.161, intensity 46; d 2.110, intensity 71; d 2.053, intensity 66; d 1.920, intensity 100; d 1.883, intensity 26; d 1.435, intensity 48

=====

# 4
Diffraction record for Cu3As2Pd4. The powder diffractogram is calculated, not measured: it uses a crystal structure in Alexandria, relaxed with GGA-PBE and Cu Kα (λ = 1.5418 Å).
Neutral-atom scattering factors, no anomalous dispersion.

Structural model:
```
data_Cu3As2Pd4
_chemical_formula_sum 'Cu3 As2 Pd4'
_cell_length_a 4.280
_cell_length_b 4.280
_cell_length_c 8.209
_cell_angle_alpha 90.56
_cell_angle_beta 90.56
_cell_angle_gamma 60.44
_space_group_name_H-M_alt 'P 1'
_space_group_IT_number 1
loop_
_space_group_symop_operation_xyz
'x,y,z'
loop_
_atom_site_label
_atom_site_type_symbol
_atom_site_fract_x
_atom_site_fract_y
_atom_site_fract_z
Cu1 Cu 0.000 0.000 0.000
Cu2 Cu 0.333 0.333 0.519
Cu3 Cu 0.667 0.667 0.481
As1 As 0.332 0.332 0.212
As2 As 0.668 0.668 0.788
Pd1 Pd 0.001 0.001 0.669
Pd2 Pd 0.335 0.335 0.876
Pd3 Pd 0.665 0.665 0.124
Pd4 Pd 0.999 0.999 0.331
```

Most intense lines, 10° ≤ 2θ ≤ 80°, in order of rising 2θ:
d 2.211, intensity 57; d 2.199, intensity 98; d 2.154, intensity 51; d 2.140, intensity 100; d 1.543, intensity 31; d 1.524, intensity 15; d 1.252, intensity 16; d 1.251, intensity 15; d 1.244, intensity 15; d 1.241, intensity 17

=====

# 5
Diffraction record for Pr4Cu5As7. The powder diffractogram is calculated, not measured: it uses a crystal structure in Alexandria, relaxed with GGA-PBE and Cu Kα (λ = 1.5418 Å).
Neutral-atom scattering factors, no anomalous dispersion.

Structural model:
```
data_Pr4Cu5As7
_chemical_formula_sum 'Pr4 Cu5 As7'
_cell_length_a 11.001
_cell_length_b 11.001
_cell_length_c 11.001
_cell_angle_alpha 150.36
_cell_angle_beta 150.36
_cell_angle_gamma 42.41
_space_group_name_H-M_alt 'P 1'
_space_group_IT_number 1
loop_
_space_group_symop_operation_xyz
'x,y,z'
loop_
_atom_site_label
_atom_site_type_symbol
_atom_site_fract_x
_atom_site_fract_y
_atom_site_fract_z
Pr1 Pr 0.135 0.135 0.511
Pr2 Pr 0.376 0.865 0.000
Pr3 Pr 0.624 0.624 0.489
Pr4 Pr 0.865 0.376 0.000
Cu1 Cu 0.000 0.000 0.000
Cu2 Cu 0.250 0.750 0.500
Cu3 Cu 0.251 0.251 0.000
Cu4 Cu 0.749 0.749 0.000
Cu5 Cu 0.750 0.250 0.500
As1 As 0.000 0.500 0.500
As2 As 0.071 0.579 0.000
As3 As 0.421 0.421 0.492
As4 As 0.500 0.000 0.500
As5 As 0.500 0.500 0.000
As6 As 0.579 0.071 0.000
As7 As 0.929 0.929 0.508
```

Most intense lines, 10° ≤ 2θ ≤ 80°, in order of rising 2θ:
d 3.710, intensity 19; d 3.144, intensity 16; d 2.593, intensity 32; d 2.564, intensity 14; d 2.467, intensity 100; d 1.989, intensity 36; d 1.823, intensity 19; d 1.578, intensity 14; d 1.344, intensity 14; d 1.222, intensity 20

=====

# 6
Diffraction record for PuCuAs. The powder diffractogram is calculated, not measured: it uses a crystal structure in Alexandria, relaxed with GGA-PBE and Cu Kα (λ = 1.5418 Å).
Neutral-atom scattering factors, no anomalous dispersion.

Structural model:
```
data_PuCuAs
_chemical_formula_sum 'Pu2 Cu2 As2'
_cell_length_a 3.696
_cell_length_b 3.696
_cell_length_c 8.596
_cell_angle_alpha 90.00
_cell_angle_beta 90.00
_cell_angle_gamma 90.30
_space_group_name_H-M_alt 'P 1'
_space_group_IT_number 1
loop_
_space_group_symop_operation_xyz
'x,y,z'
loop_
_atom_site_label
_atom_site_type_symbol
_atom_site_fract_x
_atom_site_fract_y
_atom_site_fract_z
Pu1 Pu 0.000 0.000 0.173
Pu2 Pu 0.000 0.000 0.827
Cu1 Cu 0.500 0.500 0.360
Cu2 Cu 0.500 0.500 0.640
As1 As 0.000 0.000 0.500
As2 As 0.500 0.500 0.000
```

Most intense lines, 10° ≤ 2θ ≤ 80°, in order of rising 2θ:
d 8.596, intensity 18; d 3.696, intensity 35; d 3.395, intensity 12; d 2.802, intensity 18; d 2.620, intensity 40; d 2.607, intensity 39; d 2.265, intensity 100; d 1.848, intensity 29; d 1.434, intensity 26; d 1.430, intensity 23

=====

# 7
Diffraction record for PuCu2As2. The powder diffractogram is calculated, not measured: it uses a crystal structure in Alexandria, relaxed with GGA-PBE and Cu Kα (λ = 1.5418 Å).
Neutral-atom scattering factors, no anomalous dispersion.

Structural model:
```
data_PuCu2As2
_chemical_formula_sum 'Pu2 Cu4 As4'
_cell_length_a 11.511
_cell_length_b 11.511
_cell_length_c 3.931
_cell_angle_alpha 90.00
_cell_angle_beta 90.00
_cell_angle_gamma 160.31
_space_group_name_H-M_alt 'P 1'
_space_group_IT_number 1
loop_
_space_group_symop_operation_xyz
'x,y,z'
loop_
_atom_site_label
_atom_site_type_symbol
_atom_site_fract_x
_atom_site_fract_y
_atom_site_fract_z
Pu1 Pu 0.149 0.851 0.750
Pu2 Pu 0.851 0.149 0.250
Cu1 Cu 0.036 0.964 0.250
Cu2 Cu 0.464 0.536 0.250
Cu3 Cu 0.536 0.464 0.750
Cu4 Cu 0.964 0.036 0.750
As1 As 0.250 0.750 0.250
As2 As 0.395 0.605 0.750
As3 As 0.605 0.395 0.250
As4 As 0.750 0.250 0.750
```

Most intense lines, 10° ≤ 2θ ≤ 80°, in order of rising 2θ:
d 3.714, intensity 17; d 3.491, intensity 25; d 3.230, intensity 17; d 2.502, intensity 15; d 2.371, intensity 100; d 2.299, intensity 18; d 1.967, intensity 39; d 1.486, intensity 12; d 1.391, intensity 13; d 1.200, intensity 12

=====

# 8
Diffraction record for PuCu2As3. The powder diffractogram is calculated, not measured: it uses a crystal structure in Alexandria, relaxed with GGA-PBE and Cu Kα (λ = 1.5418 Å).
Neutral-atom scattering factors, no anomalous dispersion.

Structural model:
```
data_PuCu2As3
_chemical_formula_sum 'Pu2 Cu4 As6'
_cell_length_a 5.358
_cell_length_b 11.346
_cell_length_c 4.194
_cell_angle_alpha 90.00
_cell_angle_beta 90.00
_cell_angle_gamma 90.00
_space_group_name_H-M_alt 'P 1'
_space_group_IT_number 1
loop_
_space_group_symop_operation_xyz
'x,y,z'
loop_
_atom_site_label
_atom_site_type_symbol
_atom_site_fract_x
_atom_site_fract_y
_atom_site_fract_z
Pu1 Pu 0.250 0.250 0.003
Pu2 Pu 0.750 0.750 0.997
Cu1 Cu 0.250 0.633 0.493
Cu2 Cu 0.250 0.867 0.493
Cu3 Cu 0.750 0.133 0.507
Cu4 Cu 0.750 0.367 0.507
As1 As 0.250 0.078 0.504
As2 As 0.250 0.422 0.504
As3 As 0.250 0.750 0.994
As4 As 0.750 0.250 0.006
As5 As 0.750 0.578 0.496
As6 As 0.750 0.922 0.496
```

Most intense lines, 10° ≤ 2θ ≤ 80°, in order of rising 2θ:
d 5.673, intensity 65; d 3.372, intensity 100; d 3.171, intensity 40; d 2.679, intensity 68; d 2.488, intensity 32; d 2.350, intensity 66; d 2.097, intensity 88; d 2.089, intensity 26; d 1.766, intensity 57; d 1.651, intensity 31

=====

# 9
Diffraction record for RbCu3As2. The powder diffractogram is calculated, not measured: it uses a crystal structure in Alexandria, relaxed with GGA-PBE and Cu Kα (λ = 1.5418 Å).
Neutral-atom scattering factors, no anomalous dispersion.

Structural model:
```
data_RbCu3As2
_chemical_formula_sum 'Rb2 Cu6 As4'
_cell_length_a 8.019
_cell_length_b 8.019
_cell_length_c 8.618
_cell_angle_alpha 109.83
_cell_angle_beta 109.83
_cell_angle_gamma 28.51
_space_group_name_H-M_alt 'P 1'
_space_group_IT_number 1
loop_
_space_group_symop_operation_xyz
'x,y,z'
loop_
_atom_site_label
_atom_site_type_symbol
_atom_site_fract_x
_atom_site_fract_y
_atom_site_fract_z
Rb1 Rb 0.142 0.142 0.044
Rb2 Rb 0.858 0.858 0.956
Cu1 Cu 0.051 0.051 0.407
Cu2 Cu 0.314 0.314 0.550
Cu3 Cu 0.416 0.416 0.380
Cu4 Cu 0.584 0.584 0.620
Cu5 Cu 0.686 0.686 0.450
Cu6 Cu 0.949 0.949 0.593
As1 As 0.191 0.191 0.659
As2 As 0.473 0.473 0.760
As3 As 0.527 0.527 0.240
As4 As 0.809 0.809 0.341
```

Most intense lines, 10° ≤ 2θ ≤ 80°, in order of rising 2θ:
d 8.074, intensity 100; d 2.907, intensity 41; d 2.675, intensity 44; d 2.332, intensity 34; d 2.216, intensity 31; d 2.082, intensity 28; d 1.975, intensity 35; d 1.926, intensity 26; d 1.831, intensity 32; d 1.801, intensity 27

=====

# 10
Diffraction record for RbCuAs2Se4. The powder diffractogram is calculated, not measured: it uses a crystal structure in Alexandria, relaxed with GGA-PBE and Cu Kα (λ = 1.5418 Å).
Neutral-atom scattering factors, no anomalous dispersion.

Structural model:
```
data_RbCuAs2Se4
_chemical_formula_sum 'Rb1 Cu1 As2 Se4'
_cell_length_a 7.382
_cell_length_b 6.611
_cell_length_c 6.545
_cell_angle_alpha 68.27
_cell_angle_beta 56.29
_cell_angle_gamma 55.44
_space_group_name_H-M_alt 'P 1'
_space_group_IT_number 1
loop_
_space_group_symop_operation_xyz
'x,y,z'
loop_
_atom_site_label
_atom_site_type_symbol
_atom_site_fract_x
_atom_site_fract_y
_atom_site_fract_z
Rb1 Rb 0.000 0.000 0.000
Cu1 Cu 0.573 0.573 0.427
As1 As 0.290 0.290 0.210
As2 As 0.790 0.790 0.710
Se1 Se 0.241 0.638 0.362
Se2 Se 0.501 0.951 0.499
Se3 Se 0.638 0.241 0.759
Se4 Se 0.951 0.501 0.049
```

Most intense lines, 10° ≤ 2θ ≤ 80°, in order of rising 2θ:
d 3.691, intensity 38; d 3.185, intensity 100; d 3.035, intensity 20; d 2.589, intensity 27; d 2.352, intensity 14; d 2.024, intensity 34; d 2.009, intensity 38; d 2.000, intensity 20; d 1.809, intensity 10; d 1.584, intensity 12

=====

# 11
Diffraction record for RbCuAsSe3. The powder diffractogram is calculated, not measured: it uses a crystal structure in Alexandria, relaxed with GGA-PBE and Cu Kα (λ = 1.5418 Å).
Neutral-atom scattering factors, no anomalous dispersion.

Structural model:
```
data_RbCuAsSe3
_chemical_formula_sum 'Rb2 Cu2 As2 Se6'
_cell_length_a 9.383
_cell_length_b 3.939
_cell_length_c 9.721
_cell_angle_alpha 90.00
_cell_angle_beta 112.62
_cell_angle_gamma 90.00
_space_group_name_H-M_alt 'P 1'
_space_group_IT_number 1
loop_
_space_group_symop_operation_xyz
'x,y,z'
loop_
_atom_site_label
_atom_site_type_symbol
_atom_site_fract_x
_atom_site_fract_y
_atom_site_fract_z
Rb1 Rb 0.207 0.250 0.245
Rb2 Rb 0.793 0.750 0.755
Cu1 Cu 0.071 0.250 0.587
Cu2 Cu 0.929 0.750 0.413
As1 As 0.335 0.750 0.868
As2 As 0.665 0.250 0.132
Se1 Se 0.136 0.250 0.859
Se2 Se 0.207 0.750 0.546
Se3 Se 0.469 0.750 0.149
Se4 Se 0.531 0.250 0.851
Se5 Se 0.793 0.250 0.454
Se6 Se 0.864 0.750 0.141
```

Most intense lines, 10° ≤ 2θ ≤ 80°, in order of rising 2θ:
d 7.942, intensity 100; d 3.048, intensity 25; d 3.010, intensity 84; d 2.991, intensity 30; d 2.914, intensity 45; d 2.542, intensity 22; d 2.053, intensity 31; d 1.970, intensity 29; d 1.846, intensity 33; d 1.699, intensity 20

=====

# 12
Diffraction record for RbCuTe3As. The powder diffractogram is calculated, not measured: it uses a crystal structure in Alexandria, relaxed with GGA-PBE and Cu Kα (λ = 1.5418 Å).
Neutral-atom scattering factors, no anomalous dispersion.

Structural model:
```
data_RbCuTe3As
_chemical_formula_sum 'Rb2 Cu2 Te6 As2'
_cell_length_a 10.151
_cell_length_b 4.152
_cell_length_c 10.318
_cell_angle_alpha 90.00
_cell_angle_beta 113.63
_cell_angle_gamma 90.00
_space_group_name_H-M_alt 'P 1'
_space_group_IT_number 1
loop_
_space_group_symop_operation_xyz
'x,y,z'
loop_
_atom_site_label
_atom_site_type_symbol
_atom_site_fract_x
_atom_site_fract_y
_atom_site_fract_z
Rb1 Rb 0.205 0.250 0.240
Rb2 Rb 0.795 0.750 0.760
Cu1 Cu 0.067 0.250 0.578
Cu2 Cu 0.933 0.750 0.422
Te1 Te 0.132 0.250 0.853
Te2 Te 0.212 0.750 0.545
Te3 Te 0.474 0.750 0.157
Te4 Te 0.526 0.250 0.843
Te5 Te 0.788 0.250 0.455
Te6 Te 0.868 0.750 0.147
As1 As 0.336 0.750 0.865
As2 As 0.664 0.250 0.135
```

Most intense lines, 10° ≤ 2θ ≤ 80°, in order of rising 2θ:
d 8.564, intensity 100; d 3.226, intensity 24; d 3.207, intensity 84; d 3.151, intensity 42; d 3.098, intensity 52; d 2.618, intensity 22; d 2.180, intensity 36; d 2.076, intensity 29; d 1.955, intensity 32; d 1.811, intensity 19